No. 1
This entry pairs a crystal structure of LiMnPO4 with its simulated X-ray powder pattern. Radiation: Cu Ka. Structure: a PBE+U-relaxed structure.
Intensities are scaled so that the largest is 100.

Main lines, most intense first (10° ≤ 2θ ≤ 80°):
2θ 15.04, rel. 100.0, (1 0 0); 2θ 28.51, rel. 90.3, (1 2 1); 2θ 18.59, rel. 66.8, (1 0 -1); 2θ 27.11, rel. 54.7, (0 1 -2); 2θ 18.95, rel. 53.7, (1 1 0); 2θ 29.23, rel. 50.6, (0 0 3); 2θ 31.42, rel. 49.5, (1 -1 2); 2θ 37.69, rel. 35.2, (2 0 -2); 2θ 31.81, rel. 35.2, (1 0 3); 2θ 29.55, rel. 33.2, (0 2 2)

Structure:
abc: 6.0227 6.6817 9.6473
angles: 72.49 82.08 79.09
Space group P-1 (No. 2)
Asymmetric unit:
1 Li 0.0671 0.3307 0.1806 (multiplicity 2)
2 Li 0.1013 0.8016 0.2184 (multiplicity 2)
3 Mn 0.2946 0.6455 0.5699 (multiplicity 2)
4 Mn 0.4852 0.9343 0.7832 (multiplicity 2)
5 P 0.2106 0.1828 0.5123 (multiplicity 2)
6 P 0.3321 0.2904 0.8871 (multiplicity 2)
7 O 0.0339 0.7396 0.4311 (multiplicity 2)
8 O 0.1865 0.1314 0.8692 (multiplicity 2)
9 O 0.2202 0.1843 0.3506 (multiplicity 2)
10 O 0.2333 0.5221 0.8007 (multiplicity 2)
11 O 0.2890 0.9530 0.6102 (multiplicity 2)
12 O 0.3237 0.2846 0.0501 (multiplicity 2)
13 O 0.3712 0.3312 0.5288 (multiplicity 2)
14 O 0.4225 0.7811 0.1734 (multiplicity 2)

***

No. 2
This entry pairs a crystal structure of LiMnPO4 with its simulated X-ray powder pattern. Radiation: Cu Ka. Structure: a PBE+U-relaxed structure.
Intensities are scaled so that the largest is 100.

Main lines, most intense first (10° ≤ 2θ ≤ 80°):
2θ 27.30, rel. 100.0, (0 2 -2); 2θ 26.77, rel. 50.3, (1 -2 1); 2θ 15.47, rel. 38.8, (1 0 0); 2θ 22.22, rel. 37.6, (-1 1 1); 2θ 25.04, rel. 31.2, (1 1 1); 2θ 20.82, rel. 28.8, (1 1 -1); 2θ 25.75, rel. 27.9, (1 0 -2); 2θ 44.85, rel. 22.1, (2 -3 0); 2θ 42.80, rel. 15.4, (0 1 -4); 2θ 29.21, rel. 14.3, (1 2 0)

Structure:
abc: 5.7673 8.0325 8.4645
angles: 105.00 93.42 94.81
Space group P-1 (No. 2)
Asymmetric unit:
1 Li 0.0065 0.0026 0.2494 (multiplicity 2)
2 Li 0.1859 0.6220 0.5393 (multiplicity 2)
3 Mn 0.3520 0.5015 0.1550 (multiplicity 2)
4 Mn 0.4951 0.0012 0.7571 (multiplicity 2)
5 P 0.1826 0.7480 0.9250 (multiplicity 2)
6 P 0.2965 0.2531 0.5711 (multiplicity 2)
7 O 0.0678 0.3336 0.0937 (multiplicity 2)
8 O 0.1254 0.3877 0.5703 (multiplicity 2)
9 O 0.2190 0.9102 0.0754 (multiplicity 2)
10 O 0.2363 0.8066 0.7670 (multiplicity 2)
11 O 0.2470 0.1531 0.7038 (multiplicity 2)
12 O 0.2781 0.1169 0.4010 (multiplicity 2)
13 O 0.3625 0.6209 0.9550 (multiplicity 2)
14 O 0.4436 0.6594 0.3892 (multiplicity 2)

***

No. 3
This entry pairs a crystal structure of LiMnP2O7 with its simulated X-ray powder pattern. Radiation: Cu Ka. Structure: a PBE+U-relaxed structure.
Intensities are scaled so that the largest is 100.

Main lines, most intense first (10° ≤ 2θ ≤ 80°):
2θ 12.46, rel. 100.0, (2 0 0); 2θ 20.45, rel. 79.5, (1 1 -1); 2θ 26.96, rel. 46.3, (1 1 -2); 2θ 22.91, rel. 19.4, (1 1 1); 2θ 25.86, rel. 16.4, (3 1 0); 2θ 41.59, rel. 14.6, (5 1 1); 2θ 34.15, rel. 13.7, (5 1 -1); 2θ 30.90, rel. 13.1, (3 1 1); 2θ 28.83, rel. 13.0, (3 1 -2); 2θ 29.18, rel. 10.7, (2 0 2)

Structure:
abc: 15.4183 5.0200 8.8446
angles: 90.00 112.83 90.00
Space group Cc (No. 9)
Asymmetric unit:
1 Li 0.0000 0.1975 0.0000 (multiplicity 4)
2 Mn 0.2894 0.3941 0.3938 (multiplicity 4)
3 P 0.1918 0.1605 0.6235 (multiplicity 4)
4 P 0.3941 0.1655 0.7587 (multiplicity 4)
5 O 0.1156 0.0313 0.1048 (multiplicity 4)
6 O 0.1946 0.4056 0.7308 (multiplicity 4)
7 O 0.1975 0.2419 0.4593 (multiplicity 4)
8 O 0.2946 0.0043 0.7263 (multiplicity 4)
9 O 0.3889 0.4237 0.8533 (multiplicity 4)
10 O 0.3899 0.2448 0.5853 (multiplicity 4)
11 O 0.4736 0.0136 0.3489 (multiplicity 4)

***

No. 4
This entry pairs a crystal structure of LiMnPO4 with its simulated X-ray powder pattern. Radiation: Cu Ka. Structure: a PBE+U-relaxed structure.
Intensities are scaled so that the largest is 100.

Main lines, most intense first (10° ≤ 2θ ≤ 80°):
2θ 20.93, rel. 100.0, (0 0 2); 2θ 19.48, rel. 87.3, (1 1 0); 2θ 18.11, rel. 35.8, (0 2 0); 2θ 27.81, rel. 22.8, (0 2 2); 2θ 29.38, rel. 20.9, (1 1 2); 2θ 34.85, rel. 20.5, (2 0 0); 2θ 34.47, rel. 20.5, (1 3 1); 2θ 42.62, rel. 19.9, (0 4 2); 2θ 21.73, rel. 19.3, (1 1 -1); 2θ 28.10, rel. 17.9, (1 1 -2)

Structure:
abc: 5.1545 9.7946 8.4998
angles: 90.00 92.83 90.00
Space group Cc (No. 9)
Asymmetric unit:
1 Li 0.0000 0.2492 0.0000 (multiplicity 4)
2 Mn 0.4822 0.3954 0.8329 (multiplicity 4)
3 P 0.4993 0.2795 0.2030 (multiplicity 4)
4 O 0.0213 0.1016 0.8238 (multiplicity 4)
5 O 0.2748 0.2741 0.6670 (multiplicity 4)
6 O 0.3517 0.3224 0.0474 (multiplicity 4)
7 O 0.3574 0.1642 0.2907 (multiplicity 4)

***

No. 5
This entry pairs a crystal structure of Li2Mn3P4O14 with its simulated X-ray powder pattern. Radiation: Cu Ka. Structure: a PBE+U-relaxed structure.
Intensities are scaled so that the largest is 100.

Main lines, most intense first (10° ≤ 2θ ≤ 80°):
2θ 29.29, rel. 100.0, (1 2 -2); 2θ 12.62, rel. 96.7, (1 0 0); 2θ 17.01, rel. 80.1, (1 1 -1); 2θ 28.95, rel. 78.1, (1 2 1); 2θ 28.68, rel. 66.9, (1 1 2); 2θ 28.26, rel. 64.9, (2 1 -2); 2θ 26.37, rel. 59.5, (1 0 2); 2θ 33.07, rel. 33.1, (2 1 -3); 2θ 14.59, rel. 32.1, (0 1 1); 2θ 32.25, rel. 29.1, (2 1 1)

Structure:
abc: 7.4845 7.9905 9.9586
angles: 90.00 110.43 90.00
Space group P2_1/c (No. 14)
Asymmetric unit:
1 Li 0.2129 0.0749 0.1566 (multiplicity 4)
2 Mn 0.3019 0.1251 0.4813 (multiplicity 4)
3 Mn 0.5000 0.0000 0.0000 (multiplicity 2)
4 P 0.1018 0.0545 0.7187 (multiplicity 4)
5 P 0.3841 0.7028 0.1943 (multiplicity 4)
6 O 0.1038 0.5084 0.7999 (multiplicity 4)
7 O 0.1237 0.1783 0.6082 (multiplicity 4)
8 O 0.1829 0.6256 0.1871 (multiplicity 4)
9 O 0.2221 0.1098 0.8729 (multiplicity 4)
10 O 0.3432 0.6262 0.6240 (multiplicity 4)
11 O 0.4711 0.5841 0.1112 (multiplicity 4)
12 O 0.4921 0.2031 0.1448 (multiplicity 4)

***

No. 6
This entry pairs a crystal structure of LiMnPO4 with its simulated X-ray powder pattern. Radiation: Cu Ka. Structure: a PBE+U-relaxed structure.
Intensities are scaled so that the largest is 100.

Main lines, most intense first (10° ≤ 2θ ≤ 80°):
2θ 17.25, rel. 100.0, (2 0 0); 2θ 34.41, rel. 90.5, (1 2 1); 2θ 32.03, rel. 49.3, (3 0 1); 2θ 22.06, rel. 47.2, (2 1 0); 2θ 50.32, rel. 29.9, (2 2 2); 2θ 42.70, rel. 24.5, (3 2 1); 2θ 59.77, rel. 20.7, (2 4 0); 2θ 61.18, rel. 17.4, (6 2 0); 2θ 48.11, rel. 14.5, (5 0 1); 2θ 22.95, rel. 13.9, (0 1 1)

Structure:
abc: 10.2784 6.4913 4.8308
angles: 90.00 90.00 90.00
Space group Pnma (No. 62)
Asymmetric unit:
1 Li 0.2158 0.2500 0.0021 (multiplicity 4)
2 Mn 0.0000 0.0000 0.5000 (multiplicity 4)
3 P 0.0974 0.7500 0.9222 (multiplicity 4)
4 O 0.0451 0.2500 0.2097 (multiplicity 4)
5 O 0.0893 0.7500 0.2443 (multiplicity 4)
6 O 0.1631 0.5538 0.8042 (multiplicity 8)

***

No. 7
This entry pairs a crystal structure of LiMn2P4O14 with its simulated X-ray powder pattern. Radiation: Cu Ka. Structure: a PBE+U-relaxed structure.
Intensities are scaled so that the largest is 100.

Main lines, most intense first (10° ≤ 2θ ≤ 80°):
2θ 23.51, rel. 100.0, (1 0 -2); 2θ 30.27, rel. 91.7, (1 0 2); 2θ 22.81, rel. 80.1, (1 0 1); 2θ 19.69, rel. 43.4, (0 1 1); 2θ 31.30, rel. 42.8, (1 -2 1); 2θ 14.98, rel. 32.5, (0 1 0); 2θ 16.13, rel. 17.7, (0 1 -1); 2θ 50.21, rel. 14.2, (1 2 2); 2θ 28.69, rel. 12.3, (1 1 -2); 2θ 19.90, rel. 11.7, (0 0 2)

Structure:
abc: 5.2089 6.2734 9.3051
angles: 98.59 101.20 105.26
Space group P1 (No. 1)
Asymmetric unit:
1 Li 0.0000 0.0000 0.0000 (multiplicity 1)
2 Mn 0.2612 0.6621 0.8263 (multiplicity 1)
3 Mn 0.7249 0.1870 0.5305 (multiplicity 1)
4 P 0.2118 0.2833 0.3317 (multiplicity 1)
5 P 0.3778 0.1863 0.7915 (multiplicity 1)
6 P 0.5986 0.6640 0.5520 (multiplicity 1)
7 P 0.8091 0.5647 0.0244 (multiplicity 1)
8 O 0.0107 0.2465 0.4301 (multiplicity 1)
9 O 0.0861 0.2490 0.1650 (multiplicity 1)
10 O 0.0958 0.6485 0.9930 (multiplicity 1)
11 O 0.1818 0.3324 0.7846 (multiplicity 1)
12 O 0.2386 0.9773 0.8493 (multiplicity 1)
13 O 0.3994 0.5466 0.3900 (multiplicity 1)
14 O 0.4103 0.1410 0.3481 (multiplicity 1)
15 O 0.4203 0.6886 0.6614 (multiplicity 1)
16 O 0.4548 0.1246 0.6457 (multiplicity 1)
17 O 0.6521 0.7288 0.9769 (multiplicity 1)
18 O 0.6599 0.3167 0.9135 (multiplicity 1)
19 O 0.7743 0.8923 0.5360 (multiplicity 1)
20 O 0.7862 0.5175 0.5978 (multiplicity 1)
21 O 0.8246 0.5365 0.1838 (multiplicity 1)

***

No. 8
This entry pairs a crystal structure of Li2Mn3P4O14 with its simulated X-ray powder pattern. Radiation: Cu Ka. Structure: a PBE+U-relaxed structure.
Intensities are scaled so that the largest is 100.

Main lines, most intense first (10° ≤ 2θ ≤ 80°):
2θ 29.97, rel. 100.0, (1 -1 1); 2θ 25.24, rel. 95.6, (0 1 2); 2θ 14.06, rel. 71.3, (0 1 0); 2θ 31.87, rel. 66.8, (2 1 0); 2θ 31.42, rel. 65.4, (1 2 2); 2θ 32.94, rel. 60.9, (1 2 -1); 2θ 20.88, rel. 37.6, (0 1 -1); 2θ 38.39, rel. 36.7, (1 3 1); 2θ 33.78, rel. 35.6, (-1 1 2); 2θ 27.18, rel. 30.9, (1 2 0)

Structure:
abc: 5.6735 7.0422 7.5134
angles: 73.98 82.45 67.32
Space group P-1 (No. 2)
Asymmetric unit:
1 Li 0.1497 0.0267 0.1900 (multiplicity 2)
2 Mn 0.2959 0.4892 0.1861 (multiplicity 2)
3 Mn 0.5000 0.0000 0.5000 (multiplicity 1)
4 P 0.1519 0.6890 0.5666 (multiplicity 2)
5 P 0.3060 0.2670 0.8414 (multiplicity 2)
6 O 0.0562 0.2644 0.9467 (multiplicity 2)
7 O 0.1266 0.2233 0.3554 (multiplicity 2)
8 O 0.1672 0.7313 0.3569 (multiplicity 2)
9 O 0.2361 0.4356 0.6391 (multiplicity 2)
10 O 0.3368 0.7567 0.6454 (multiplicity 2)
11 O 0.4453 0.3528 0.9450 (multiplicity 2)
12 O 0.4707 0.0640 0.7840 (multiplicity 2)

***

No. 9
This entry pairs a crystal structure of Li2MnPO4 with its simulated X-ray powder pattern. Radiation: Cu Ka. Structure: a PBE+U-relaxed structure.
Intensities are scaled so that the largest is 100.

Main lines, most intense first (10° ≤ 2θ ≤ 80°):
2θ 34.30, rel. 100.0, (1 1 2); 2θ 25.98, rel. 64.7, (1 1 0); 2θ 22.01, rel. 47.7, (0 0 2); 2θ 59.57, rel. 25.4, (2 0 4); 2θ 65.03, rel. 19.6, (3 1 2); 2θ 43.52, rel. 19.0, (2 0 2); 2θ 43.18, rel. 18.0, (2 1 1); 2θ 53.42, rel. 15.6, (2 2 0); 2θ 78.26, rel. 10.7, (3 1 4); 2θ 58.46, rel. 10.6, (2 2 2)

Structure:
abc: 4.8512 4.8512 8.0781
angles: 90.00 90.00 90.00
Space group I-42m (No. 121)
Asymmetric unit:
1 Li 0.0000 0.5000 0.2500 (multiplicity 4)
2 Mn 0.0000 0.0000 0.0000 (multiplicity 2)
3 P 0.0000 0.0000 0.5000 (multiplicity 2)
4 O 0.1853 0.1853 0.3853 (multiplicity 8)

***

No. 10
This entry pairs a crystal structure of Li2MnP2O8 with its simulated X-ray powder pattern. Radiation: Cu Ka. Structure: a PBE+U-relaxed structure.
Intensities are scaled so that the largest is 100.

Main lines, most intense first (10° ≤ 2θ ≤ 80°):
2θ 15.65, rel. 100.0, (1 1 -1); 2θ 30.95, rel. 92.9, (1 1 2); 2θ 15.37, rel. 91.5, (1 1 0); 2θ 29.25, rel. 73.0, (2 2 -1); 2θ 21.68, rel. 29.7, (1 1 1); 2θ 21.98, rel. 28.8, (0 0 2); 2θ 31.37, rel. 26.7, (3 1 -2); 2θ 22.29, rel. 20.2, (1 1 -2); 2θ 31.64, rel. 18.8, (1 1 -3); 2θ 47.29, rel. 16.3, (3 3 0)

Structure:
abc: 9.4029 8.0371 9.1885
angles: 90.00 118.32 90.00
Space group C2/c (No. 15)
Asymmetric unit:
1 Li 0.1186 0.2158 0.0148 (multiplicity 8)
2 Mn 0.0000 0.3459 0.2500 (multiplicity 4)
3 P 0.2203 0.4412 0.6403 (multiplicity 8)
4 O 0.0958 0.3313 0.4925 (multiplicity 8)
5 O 0.1381 0.1723 0.2386 (multiplicity 8)
6 O 0.1396 0.4815 0.7516 (multiplicity 8)
7 O 0.2245 0.0942 0.9134 (multiplicity 8)